Entry 1:
Structure and computed XRD peak list of BaBiO3 (a crystal structure in the Materials Project, relaxed with GGA-PBE; Cu Kα).

Most intense lines, 5° ≤ 2θ ≤ 70°, by angle:
2theta  I (rel.)  (hkl)
20.1  9  2 0 0
28.5  100  2 2 0
40.8  28  4 0 0
45.8  5  4 2 0
50.5  43  4 2 2
59.0  18  4 4 0
63.0  2  6 0 0
66.8  19  6 2 0

Structure:
abc: 8.855 8.855 8.855
angles: 90.00 90.00 90.00
Space group Fm-3m (No. 225)
Asymmetric unit:
Ba (0.250, 0.250, 0.250) x8
Bi (0.000, 0.000, 0.000) x4
Bi (0.000, 0.000, 0.500) x4
O (0.000, 0.000, 0.244) x24

***

Entry 2:
Structure and computed XRD peak list of RbSm2CuS4 (a crystal structure in the Materials Project, relaxed with GGA-PBE; Cu Kα).

Most intense lines, 5° ≤ 2θ ≤ 70°, by angle:
2theta  I (rel.)  (hkl)
14.1  43  0 2 1
22.9  85  0 2 3
25.4  55  0 4 0
26.2  58  1 1 2
29.9  76  1 3 1
31.9  100  1 3 2
34.5  40  0 2 5
39.7  33  1 1 5
43.8  76  1 5 3
44.7  32  2 0 0

Structure:
abc: 4.053 14.016 13.970
angles: 90.00 90.00 90.00
Space group Cmcm (No. 63)
Asymmetric unit:
Rb (0.000, 0.106, 0.250) x4
Sm (0.000, 0.366, 0.062) x8
Cu (0.000, 0.165, 0.750) x4
S (0.000, 0.000, 0.000) x4
S (0.000, 0.260, 0.611) x8
S (0.000, 0.424, 0.250) x4

***

Entry 3:
Structure and computed XRD peak list of Na2UI6 (a crystal structure in the Materials Project, relaxed with GGA-PBE; Cu Kα).

Most intense lines, 5° ≤ 2θ ≤ 70°, by angle:
2theta  I (rel.)  (hkl)
11.1  98  0 0 2
12.5  100  1 1 1
17.5  31  2 0 0
18.0  49  0 2 2
26.4  56  0 2 4
28.0  61  3 1 1
28.6  44  1 3 3
36.5  37  0 4 4
38.2  49  3 3 3
44.7  34  3 3 5

Structure:
abc: 10.109 12.520 16.009
angles: 90.00 90.00 90.00
Space group Fmmm (No. 69)
Asymmetric unit:
Na (0.250, 0.250, 0.000) x8
U (0.000, 0.000, 0.000) x4
I (0.000, 0.178, 0.128) x16
I (0.198, 0.000, 0.500) x8

***

Entry 4:
Structure and computed XRD peak list of Ho3In5 (a crystal structure in the Materials Project, relaxed with GGA-PBE; Cu Kα).

Most intense lines, 5° ≤ 2θ ≤ 70°, by angle:
2theta  I (rel.)  (hkl)
29.5  14  1 1 3
29.8  15  2 2 1
33.5  100  2 2 2
34.0  24  3 1 2
34.6  67  0 0 4
36.1  25  4 0 0
38.8  20  2 2 3
39.3  21  3 1 3
57.7  16  5 3 0
67.1  17  3 5 2

Structure:
abc: 9.944 8.050 10.371
angles: 90.00 90.00 90.00
Space group Cmcm (No. 63)
Asymmetric unit:
Ho (0.000, 0.126, 0.250) x4
Ho (0.203, 0.500, 0.000) x8
In (0.000, 0.191, 0.546) x8
In (0.000, 0.491, 0.750) x4
In (0.219, 0.210, 0.750) x8

***

Entry 5:
Structure and computed XRD peak list of NaMg14Fe (a crystal structure in the Materials Project, relaxed with GGA-PBE; Cu Kα).

Most intense lines, 5° ≤ 2θ ≤ 70°, by angle:
2theta  I (rel.)  (hkl)
8.9  10  0 0 1
16.0  5  1 0 0
18.3  7  1 0 1
32.3  25  2 0 0
36.0  23  0 0 4
37.1  100  2 0 2
49.1  14  2 0 4
57.6  17  2 2 0
65.4  15  2 0 6
69.8  17  2 2 4

Structure:
abc: 6.3991 6.3991 9.9859
angles: 90.00 90.00 120.00
Space group P-6m2 (No. 187)
Asymmetric unit:
Na (0.0000, 0.0000, 0.0000) x1
Mg (0.0074, 0.5037, 0.0000) x3
Mg (0.1599, 0.3198, 0.2694) x6
Mg (0.5035, 0.0070, 0.5000) x3
Mg (0.6667, 0.3333, 0.2446) x2
Fe (0.0000, 0.0000, 0.5000) x1

***

Entry 6:
Structure and computed XRD peak list of CeMg14Ni (a crystal structure in the Materials Project, relaxed with GGA-PBE; Cu Kα).

Most intense lines, 5° ≤ 2θ ≤ 70°, by angle:
2theta  I (rel.)  (hkl)
15.5  42  1 0 0
23.0  27  1 0 2
31.4  29  2 0 0
34.2  23  0 0 4
35.8  100  2 0 2
47.1  18  2 0 4
55.8  17  2 2 0
62.3  18  2 0 6
67.1  18  2 2 4
68.1  14  4 0 2

Structure:
abc: 6.5870 6.5870 10.4801
angles: 90.00 90.00 120.00
Space group P-6m2 (No. 187)
Asymmetric unit:
Ce (0.0000, 0.0000, 0.0000) x1
Mg (0.0158, 0.5079, 0.0000) x3
Mg (0.1594, 0.3189, 0.2701) x6
Mg (0.5038, 0.0075, 0.5000) x3
Mg (0.6667, 0.3333, 0.2390) x2
Ni (0.0000, 0.0000, 0.5000) x1

***

Entry 7:
Structure and computed XRD peak list of LaCu2 (a crystal structure in the Materials Project, relaxed with GGA-PBE; Cu Kα).

Most intense lines, 5° ≤ 2θ ≤ 70°, by angle:
2theta  I (rel.)  (hkl)
23.7  13  1 0 0
33.5  100  1 0 1
41.7  48  1 1 0
47.5  11  0 0 2
48.6  2  2 0 0
53.8  3  1 0 2
54.5  24  2 0 1
65.1  24  1 1 2
65.9  2  2 1 0

Structure:
abc: 4.3281 4.3281 3.8254
angles: 90.00 90.00 120.00
Space group P6/mmm (No. 191)
Asymmetric unit:
La (0.0000, 0.0000, 0.0000) x1
Cu (0.3333, 0.6667, 0.5000) x2